[1]
This entry pairs a crystal structure of TbAlPd with its theoretical powder X-ray diffraction pattern. Radiation: Cu Kα, 1.54184 Å. Structure: DFT lattice parameters and positions (PBE).
No peak broadening, texture or thermal motion is included.

```
data_TbAlPd
_chemical_formula_sum 'Tb4 Al4 Pd4'
_space_group_name_H-M_alt 'P n m a'
_space_group_IT_number 62
_space_group_name_Hall '-P 2ac 2n'
_cell_length_a 6.9543
_cell_length_b 4.4646
_cell_length_c 7.8035
_cell_angle_alpha 90.00
_cell_angle_beta 90.00
_cell_angle_gamma 90.00
loop_
_atom_site_label
_atom_site_fract_x
_atom_site_fract_y
_atom_site_fract_z
_atom_site_occupancy
Tb1 0.0326 0.2500 0.1806 1
Al1 0.1450 0.2500 0.5633 1
Pd1 0.2263 0.7500 0.3833 1
```

Most intense lines, 10 to 80 degrees two-theta, by intensity:
d (Å)  I/Imax  (hkl)
2.588  100  2 1 1
2.706  58  1 1 2
2.232  34  0 2 0
3.385  27  1 1 1
2.436  22  1 0 3
1.731  20  3 0 3
2.247  20  0 1 3
1.993  19  3 0 2

---

[2]
This entry pairs a crystal structure of CaLa2I8 with its theoretical powder X-ray diffraction pattern. Radiation: Cu Kα, 1.54184 Å. Structure: DFT lattice parameters and positions (PBE).
No peak broadening, texture or thermal motion is included.

```
data_CaLa2I8
_chemical_formula_sum 'Ca4 La8 I32'
_space_group_name_H-M_alt 'C 1 2/c 1'
_space_group_IT_number 15
_space_group_name_Hall '-C 2yc'
_cell_length_a 18.4491
_cell_length_b 11.2174
_cell_length_c 12.4612
_cell_angle_alpha 90.00
_cell_angle_beta 116.26
_cell_angle_gamma 90.00
loop_
_atom_site_label
_atom_site_fract_x
_atom_site_fract_y
_atom_site_fract_z
_atom_site_occupancy
Ca1 0.0000 0.0094 0.2500 1
La1 0.2444 0.2427 0.2827 1
I1 0.0846 0.1239 0.0968 1
I2 0.1280 0.1958 0.8099 1
I3 0.1435 0.1814 0.4399 1
I4 0.1630 0.4910 0.1722 1
```

Most intense lines, 10 to 80 degrees two-theta, by intensity:
d (Å)  I/Imax  (hkl)
3.097  100  3 3 0
3.170  89  5 1 -3
3.200  77  2 2 2
5.598  71  0 0 2
8.264  69  2 0 0
3.647  63  1 3 0
3.797  52  1 1 -3
2.693  49  6 2 -2

---

[3]
This entry pairs a crystal structure of NbCuSe2 with its theoretical powder X-ray diffraction pattern. Radiation: Cu Kα, 1.54184 Å. Structure: DFT lattice parameters and positions (PBE).
No peak broadening, texture or thermal motion is included.

```
data_NbCuSe2
_chemical_formula_sum 'Nb2 Cu2 Se4'
_space_group_name_H-M_alt 'P 63 m c'
_space_group_IT_number 186
_space_group_name_Hall 'P 6c -2c'
_cell_length_a 3.5767
_cell_length_b 3.5767
_cell_length_c 13.9223
_cell_angle_alpha 90.00
_cell_angle_beta 90.00
_cell_angle_gamma 120.00
loop_
_atom_site_label
_atom_site_fract_x
_atom_site_fract_y
_atom_site_fract_z
_atom_site_occupancy
Nb1 0.3333 0.6667 0.0000 1
Cu1 0.3333 0.6667 0.2144 1
Se1 0.3333 0.6667 0.3830 1
Se2 0.3333 0.6667 0.6212 1
```

Most intense lines, 10 to 80 degrees two-theta, by intensity:
d (Å)  I/Imax  (hkl)
2.071  100  1 0 5
3.097  66  1 0 0
2.576  58  1 0 3
1.788  51  1 1 0
1.353  24  2 0 5
6.961  18  0 0 2
1.247  17  1 1 8
3.024  15  1 0 1

---

[4]
This entry pairs a crystal structure of ZnInGeAs3 with its theoretical powder X-ray diffraction pattern. Radiation: Cu Kα, 1.54184 Å. Structure: DFT lattice parameters and positions (PBE).
No peak broadening, texture or thermal motion is included.

```
data_ZnInGeAs3
_chemical_formula_sum 'Zn2 In2 Ge2 As6'
_space_group_name_H-M_alt 'C 1 m 1'
_space_group_IT_number 8
_space_group_name_Hall 'C -2y'
_cell_length_a 13.7999
_cell_length_b 4.1676
_cell_length_c 5.8928
_cell_angle_alpha 90.00
_cell_angle_beta 115.14
_cell_angle_gamma 90.00
loop_
_atom_site_label
_atom_site_fract_x
_atom_site_fract_y
_atom_site_fract_z
_atom_site_occupancy
Zn1 0.0000 0.0000 0.0000 1
In1 0.3342 0.0000 0.3210 1
Ge1 0.1633 0.5000 0.6420 1
As1 0.0080 0.5000 0.2325 1
As2 0.1566 0.0000 0.8852 1
As3 0.3333 0.5000 0.5992 1
```

Most intense lines, 10 to 80 degrees two-theta, by intensity:
d (Å)  I/Imax  (hkl)
3.402  100  1 1 -1
2.083  74  0 2 0
1.777  33  2 2 1
1.203  13  1 3 2
1.473  11  6 2 0
1.775  11  7 1 -1
1.352  10  1 3 -1
1.351  7  6 2 -3